No. 1
The following is a theoretical X-ray diffraction stick pattern of RuC3SeO3. It was derived from a PBE-relaxed structure, using Cu Ka.
Peak positions follow from Bragg's law for the DFT cell and can differ from measured ones.

The 6 most intense peaks (10 to 80 degrees two-theta), sorted by position:
2θ = 12.0°, d = 7.372 Å, I 100.0
2θ = 27.0°, d = 3.297 Å, I 38.5
2θ = 34.4°, d = 2.606 Å, I 39.8
2θ = 36.6°, d = 2.457 Å, I 21.4
2θ = 44.3°, d = 2.045 Å, I 26.0
2θ = 49.5°, d = 1.843 Å, I 21.5

Cell: 10.425 10.425 10.425 Å, 90.00 90.00 90.00°
Space group I-43m (No. 217)
Symmetry-distinct sites (fractional):
1 Ru 0.131 0.131 0.869 [8 per cell]
2 C 0.126 0.126 0.685 [24 per cell]
3 Se 0.119 0.119 0.119 [8 per cell]
4 O 0.074 0.377 0.377 [24 per cell]

=====

No. 2
The following is a theoretical X-ray diffraction stick pattern of Mg6TiZn. It was derived from a PBE-relaxed structure, using Cu Ka.
Peak positions follow from Bragg's law for the DFT cell and can differ from measured ones.

The 6 most intense peaks (10 to 80 degrees two-theta), sorted by position:
2θ = 16.2°, d = 5.478 Å, I 19.9
2θ = 33.5°, d = 2.678 Å, I 29.4
2θ = 36.4°, d = 2.466 Å, I 38.1
2θ = 37.6°, d = 2.395 Å, I 54.2
2θ = 38.2°, d = 2.354 Å, I 100.0
2θ = 71.2°, d = 1.324 Å, I 18.7

Cell: 4.932 6.141 10.957 Å, 90.00 90.00 90.00°
Space group Amm2 (No. 38)
Symmetry-distinct sites (fractional):
1 Mg 0.000 0.000 0.000 [2 per cell]
2 Mg 0.000 0.000 0.500 [2 per cell]
3 Mg 0.000 0.248 0.258 [4 per cell]
4 Mg 0.500 0.247 0.591 [4 per cell]
5 Ti 0.500 0.000 0.341 [2 per cell]
6 Zn 0.500 0.000 0.835 [2 per cell]

=====

No. 3
The following is a theoretical X-ray diffraction stick pattern of Sr3C3N5. It was derived from a PBE-relaxed structure, using Cu Ka.
Peak positions follow from Bragg's law for the DFT cell and can differ from measured ones.

The 6 most intense peaks (10 to 80 degrees two-theta), sorted by position:
2θ = 21.5°, d = 4.129 Å, I 21.8
2θ = 26.5°, d = 3.370 Å, I 24.1
2θ = 27.3°, d = 3.271 Å, I 28.5
2θ = 28.5°, d = 3.134 Å, I 100.0
2θ = 30.6°, d = 2.925 Å, I 25.8
2θ = 34.6°, d = 2.593 Å, I 20.9

Cell: 5.988 7.295 7.755 Å, 90.61 93.54 101.77°
Space group P-1 (No. 2)
Symmetry-distinct sites (fractional):
1 Sr 0.081 0.076 0.219 [2 per cell]
2 Sr 0.322 0.671 0.084 [2 per cell]
3 Sr 0.343 0.773 0.578 [2 per cell]
4 C 0.096 0.459 0.745 [2 per cell]
5 C 0.205 0.255 0.635 [2 per cell]
6 C 0.339 0.018 0.968 [2 per cell]
7 N 0.023 0.722 0.320 [2 per cell]
8 N 0.024 0.600 0.805 [2 per cell]
9 N 0.270 0.124 0.554 [2 per cell]
10 N 0.322 0.435 0.710 [2 per cell]
11 N 0.489 0.046 0.125 [2 per cell]

=====

No. 4
The following is a theoretical X-ray diffraction stick pattern of ZnSnAs2. It was derived from a PBE-relaxed structure, using Cu Ka.
Peak positions follow from Bragg's law for the DFT cell and can differ from measured ones.

The 6 most intense peaks (10 to 80 degrees two-theta), sorted by position:
2θ = 26.0°, d = 3.431 Å, I 100.0
2θ = 43.0°, d = 2.105 Å, I 25.9
2θ = 43.1°, d = 2.099 Å, I 49.1
2θ = 50.9°, d = 1.794 Å, I 31.5
2θ = 51.1°, d = 1.787 Å, I 14.5
2θ = 78.8°, d = 1.214 Å, I 16.7

Cell: 4.210 4.210 5.920 Å, 90.00 90.00 90.00°
Space group P-4m2 (No. 115)
Symmetry-distinct sites (fractional):
1 Zn 0.000 0.000 0.000 [1 per cell]
2 Sn 0.500 0.500 0.500 [1 per cell]
3 As 0.000 0.500 0.225 [2 per cell]

=====

No. 5
The following is a theoretical X-ray diffraction stick pattern of La2Th5O13. It was derived from a PBE-relaxed structure, using Cu Ka.
Peak positions follow from Bragg's law for the DFT cell and can differ from measured ones.

The 6 most intense peaks (10 to 80 degrees two-theta), sorted by position:
2θ = 27.2°, d = 3.283 Å, I 33.5
2θ = 27.4°, d = 3.252 Å, I 100.0
2θ = 31.7°, d = 2.823 Å, I 48.5
2θ = 45.3°, d = 2.003 Å, I 33.2
2θ = 45.6°, d = 1.989 Å, I 33.6
2θ = 53.9°, d = 1.701 Å, I 31.3

Cell: 3.9782 3.9782 68.9392 Å, 90.00 90.00 120.00°
Space group R3m (No. 160, hexagonal axes)
Symmetry-distinct sites (fractional):
1 La 0.0000 0.0000 0.0000 [3 per cell]
2 La 0.0000 0.0000 0.2821 [3 per cell]
3 Th 0.0000 0.0000 0.1421 [3 per cell]
4 Th 0.0000 0.0000 0.4279 [3 per cell]
5 Th 0.0000 0.0000 0.5700 [3 per cell]
6 Th 0.0000 0.0000 0.7140 [3 per cell]
7 Th 0.0000 0.0000 0.8562 [3 per cell]
8 O 0.0000 0.0000 0.0356 [3 per cell]
9 O 0.0000 0.0000 0.1057 [3 per cell]
10 O 0.0000 0.0000 0.1770 [3 per cell]
11 O 0.0000 0.0000 0.2474 [3 per cell]
12 O 0.0000 0.0000 0.3918 [3 per cell]
13 O 0.0000 0.0000 0.4628 [3 per cell]
14 O 0.0000 0.0000 0.5340 [3 per cell]
15 O 0.0000 0.0000 0.6046 [3 per cell]
16 O 0.0000 0.0000 0.6746 [3 per cell]
17 O 0.0000 0.0000 0.7485 [3 per cell]
18 O 0.0000 0.0000 0.8199 [3 per cell]
19 O 0.0000 0.0000 0.8909 [3 per cell]
20 O 0.0000 0.0000 0.9678 [3 per cell]

=====

No. 6
The following is a theoretical X-ray diffraction stick pattern of CsB5H8O12. It was derived from a PBE-relaxed structure, using Cu Ka.
Peak positions follow from Bragg's law for the DFT cell and can differ from measured ones.

The 6 most intense peaks (10 to 80 degrees two-theta), sorted by position:
2θ = 15.2°, d = 5.813 Å, I 76.3
2θ = 21.3°, d = 4.163 Å, I 29.5
2θ = 25.6°, d = 3.480 Å, I 100.0
2θ = 26.3°, d = 3.393 Å, I 34.3
2θ = 26.4°, d = 3.379 Å, I 48.0
2θ = 30.0°, d = 2.982 Å, I 34.2

Cell: 8.701 11.627 11.946 Å, 90.00 92.98 90.00°
Space group C2/c (No. 15)
Symmetry-distinct sites (fractional):
1 Cs 0.000 0.219 0.250 [4 per cell]
2 B 0.000 0.283 0.750 [4 per cell]
3 B 0.060 0.213 0.558 [8 per cell]
4 B 0.123 0.367 0.926 [8 per cell]
5 H 0.185 0.489 0.744 [8 per cell]
6 H 0.188 0.075 0.520 [8 per cell]
7 H 0.201 0.097 0.751 [8 per cell]
8 H 0.218 0.442 0.062 [8 per cell]
9 O 0.037 0.296 0.992 [8 per cell]
10 O 0.081 0.208 0.673 [8 per cell]
11 O 0.114 0.359 0.811 [8 per cell]
12 O 0.128 0.140 0.487 [8 per cell]
13 O 0.213 0.440 0.204 [8 per cell]
14 O 0.220 0.446 0.978 [8 per cell]

=====

No. 7
The following is a theoretical X-ray diffraction stick pattern of Ca3UN4. It was derived from a PBE-relaxed structure, using Cu Ka.
Peak positions follow from Bragg's law for the DFT cell and can differ from measured ones.

The 6 most intense peaks (10 to 80 degrees two-theta), sorted by position:
2θ = 17.7°, d = 5.004 Å, I 32.2
2θ = 20.2°, d = 4.394 Å, I 100.0
2θ = 31.4°, d = 2.845 Å, I 86.7
2θ = 36.8°, d = 2.445 Å, I 51.4
2θ = 52.3°, d = 1.749 Å, I 32.7
2θ = 62.9°, d = 1.477 Å, I 37.3

Cell: 4.890 4.890 10.008 Å, 90.00 90.00 90.00°
Space group I4/mmm (No. 139)
Symmetry-distinct sites (fractional):
1 Ca 0.000 0.000 0.000 [2 per cell]
2 Ca 0.000 0.500 0.250 [4 per cell]
3 U 0.000 0.000 0.500 [2 per cell]
4 N 0.000 0.000 0.298 [4 per cell]
5 N 0.000 0.500 0.000 [4 per cell]